Record 1
Computed powder X-ray diffraction pattern
Compound: CuBSeS
Radiation: Cu Kα (λ = 1.5418 Å)
Structure: the GGA-PBE geometry in OQMD

Largest 10 diffraction maxima, low angle first, 2θ = 10–90°:
Position (°2θ), Rel. int., index
19.4, 37, 1 1 0
30.6, 38, 2 0 0
31.0, 100, 0 2 1
31.4, 62, 2 0 -2
33.2, 40, 1 1 1
39.9, 20, 3 1 -1
40.0, 32, 1 3 0
49.8, 38, 0 4 0
52.2, 49, 2 2 1
53.2, 36, 2 2 -3

```
CuBSeS
1.0
7.326 0.000 0.000
0.000 7.327 0.000
-3.541 0.000 4.683
Cu B Se S
4 4 4 4
Cartesian
0.000 0.993 0.000
-1.770 6.334 2.341
1.893 2.671 2.341
3.663 4.656 0.000
-0.049 0.834 4.682
1.721 6.493 2.341
5.384 2.829 2.341
3.614 4.498 4.682
-0.209 2.570 3.512
1.561 4.757 1.170
5.224 1.094 1.170
3.454 6.233 3.512
1.935 0.716 1.170
0.165 6.611 3.511
3.828 2.948 3.511
5.598 4.379 1.170
```



Record 2
Computed powder X-ray diffraction pattern
Compound: CuBSeS
Radiation: Cu Kα (λ = 1.5418 Å)
Structure: the GGA-PBE geometry in OQMD

Largest 10 diffraction maxima, low angle first, 2θ = 10–90°:
Position (°2θ), Rel. int., index
19.3, 10, 0 1 1
24.3, 11, 1 1 0
31.0, 100, 1 1 2
33.7, 13, 1 0 3
39.7, 12, 1 2 1
40.6, 14, 2 1 1
49.9, 20, 2 2 0
52.2, 19, 0 2 4
53.2, 17, 2 0 4
59.0, 13, 1 3 2

```
CuBSeS
1.0
5.071 0.000 0.000
0.000 5.276 0.000
0.000 0.000 9.388
Cu B Se S
4 4 4 4
Cartesian
0.000 1.319 1.016
0.000 3.957 3.678
2.535 1.319 8.371
2.535 3.957 5.710
0.000 1.319 5.797
0.000 3.957 8.284
2.535 1.319 3.590
2.535 3.957 1.103
1.055 0.000 7.041
1.480 0.000 2.347
3.590 2.638 2.347
4.015 2.638 7.041
1.268 2.317 4.694
1.268 2.960 0.000
3.803 0.322 4.694
3.803 4.955 0.000
```



Record 3
Computed powder X-ray diffraction pattern
Compound: ScZnCu4B2
Radiation: Cu Kα (λ = 1.5418 Å)
Structure: the GGA-PBE geometry in OQMD

Largest 10 diffraction maxima, low angle first, 2θ = 10–90°:
Position (°2θ), Rel. int., index
13.9, 14, 0 0 1
27.1, 24, 1 0 1
28.0, 9, 0 0 2
33.0, 15, 1 1 0
43.8, 100, 1 1 2
47.4, 42, 2 0 0
57.9, 8, 0 0 4
69.3, 12, 2 2 0
77.9, 13, 2 0 4
85.7, 25, 3 1 2

```
ScZnCu4B2
1.0
3.836 0.000 0.000
0.000 3.836 0.000
0.000 0.000 6.375
Sc Zn Cu B
1 1 4 2
Cartesian
0.000 0.000 0.000
1.918 1.918 3.188
0.000 1.918 1.759
0.000 1.918 4.616
1.918 0.000 1.759
1.918 0.000 4.616
0.000 0.000 3.188
1.918 1.918 0.000
```



Record 4
Computed powder X-ray diffraction pattern
Compound: CuB3W4
Radiation: Cu Kα (λ = 1.5418 Å)
Structure: the GGA-PBE geometry in OQMD

Largest 10 diffraction maxima, low angle first, 2θ = 10–90°:
Position (°2θ), Rel. int., index
30.5, 20, 0 0 8
34.1, 42, 1 0 2
35.2, 24, 1 0 3
36.7, 33, 1 0 4
38.4, 29, 0 0 10
38.5, 61, 1 0 5
40.6, 100, 1 0 6
58.3, 20, 1 0 12
59.4, 42, 1 1 0
72.9, 27, 1 1 10

```
CuB3W4
1.0
3.113 0.000 0.000
-1.556 2.696 0.000
0.000 0.000 23.468
Cu B W
2 6 8
Cartesian
0.000 1.797 5.867
1.556 0.899 17.601
0.000 0.000 0.000
0.000 0.000 11.734
0.000 1.797 14.382
0.000 1.797 20.820
1.556 0.899 2.648
1.556 0.899 9.086
0.000 0.000 3.818
0.000 0.000 7.916
0.000 0.000 15.552
0.000 0.000 19.650
0.000 1.797 1.360
0.000 1.797 10.374
1.556 0.899 13.094
1.556 0.899 22.108
```